Structure and computed powder XRD pattern of LiGa3Pt4 (a cell relaxed with GGA-PBE; Cu Kα, 1.54184 Å).
No peak broadening, texture or thermal motion is included.

Atomic structure:
```
LiGa3Pt4
1.0
14.9050 0.0000 0.0000
0.0000 4.0425 0.0000
-1.0727 0.0000 3.8976
Li Ga Pt
2 6 8
Cartesian
0.0000 0.0000 0.0000
7.4525 2.0213 0.0000
-0.5363 2.0213 1.9488
3.4185 0.0000 0.9622
2.9613 2.0213 2.9353
6.9161 0.0000 1.9488
10.8710 2.0213 0.9622
10.4138 0.0000 2.9353
1.2153 0.0000 2.4417
1.7515 2.0213 0.4919
4.6283 0.0000 3.4057
5.1645 2.0213 1.4559
9.2040 0.0000 0.4919
8.6677 2.0213 2.4417
12.6170 0.0000 1.4559
12.0808 2.0213 3.4057
```

Most intense lines, 5° ≤ 2θ ≤ 70°, sorted by position:
24.78°, rel. 52
31.29°, rel. 58
40.23°, rel. 100
40.41°, rel. 99
44.84°, rel. 74
50.83°, rel. 26
51.90°, rel. 15
60.78°, rel. 9
65.28°, rel. 24
69.84°, rel. 10

***

Structure and computed powder XRD pattern of GeTeAs (a cell relaxed with GGA-PBE; Cu Kα, 1.54184 Å).
No peak broadening, texture or thermal motion is included.

Atomic structure:
```
GeTeAs
1.0
7.1406 0.0000 0.0000
0.0000 6.1828 0.0000
-0.2466 0.0000 7.6026
Ge Te As
4 4 4
Cartesian
0.8133 0.7040 2.6378
0.6900 2.3874 6.4391
6.2040 3.7954 1.1635
6.0807 5.4788 4.9648
3.4526 1.0565 2.8150
3.3293 2.0349 6.6163
3.5646 4.1479 0.9863
3.4413 5.1263 4.7876
0.3847 4.4570 3.1828
0.2613 4.8171 6.9841
6.6326 1.3657 0.6185
6.5093 1.7257 4.4198
```

Most intense lines, 5° ≤ 2θ ≤ 70°, sorted by position:
18.50°, rel. 45
24.95°, rel. 90
27.55°, rel. 38
28.88°, rel. 35
29.99°, rel. 100
30.63°, rel. 40
31.23°, rel. 76
40.13°, rel. 34
46.75°, rel. 48
47.85°, rel. 30

***

Structure and computed powder XRD pattern of NbCdPdRu (a cell relaxed with GGA-PBE; Cu Kα, 1.54184 Å).
No peak broadening, texture or thermal motion is included.

Atomic structure:
```
NbCdPdRu
1.0
6.4391 0.0000 0.0000
0.0000 6.4391 0.0000
0.0000 0.0000 6.4391
Nb Cd Pd Ru
4 4 4 4
Cartesian
0.0000 0.0000 0.0000
0.0000 3.2195 3.2195
3.2195 0.0000 3.2195
3.2195 3.2195 0.0000
0.0000 0.0000 3.2195
0.0000 3.2195 0.0000
3.2195 0.0000 0.0000
3.2195 3.2195 3.2195
1.6098 1.6098 1.6098
1.6098 4.8293 4.8293
4.8293 1.6098 4.8293
4.8293 4.8293 1.6098
1.6098 1.6098 4.8293
1.6098 4.8293 1.6098
4.8293 1.6098 1.6098
4.8293 4.8293 4.8293
```

Most intense lines, 5° ≤ 2θ ≤ 70°, sorted by position:
23.94°, rel. 1
39.59°, rel. 100
57.23°, rel. 17

***

Structure and computed powder XRD pattern of Pm2MgAl3 (a cell relaxed with GGA-PBE; Cu Kα, 1.54184 Å).
No peak broadening, texture or thermal motion is included.

Atomic structure:
```
Pm2MgAl3
1.0
3.9813 0.0000 0.0000
0.0000 4.6780 0.0000
0.0000 0.0000 16.1403
Pm Mg Al
4 2 6
Cartesian
0.0000 0.0000 0.0000
0.0000 2.3390 4.5007
1.9907 0.0000 12.5709
1.9907 2.3390 8.0701
0.0000 0.0000 9.6975
1.9907 2.3390 1.6274
0.0000 0.0000 7.0178
0.0000 2.3390 10.9987
0.0000 2.3390 13.5511
1.9907 0.0000 2.9286
1.9907 0.0000 5.4809
1.9907 2.3390 15.0879
```

Most intense lines, 5° ≤ 2θ ≤ 70°, sorted by position:
19.76°, rel. 33
22.03°, rel. 26
27.88°, rel. 36
31.52°, rel. 100
33.73°, rel. 39
38.49°, rel. 20
45.46°, rel. 18
48.19°, rel. 16
57.88°, rel. 16
61.08°, rel. 25

***

Structure and computed powder XRD pattern of Mg4AgPd (a cell relaxed with GGA-PBE; Cu Kα, 1.54184 Å).
No peak broadening, texture or thermal motion is included.

Atomic structure:
```
Mg4AgPd
1.0
4.5342 0.0000 0.0000
0.0000 4.5342 0.0000
0.0000 0.0000 6.4561
Mg Ag Pd
4 1 1
Cartesian
0.0000 2.2671 1.5375
0.0000 2.2671 4.9186
2.2671 0.0000 1.5375
2.2671 0.0000 4.9186
0.0000 0.0000 3.2280
2.2671 2.2671 0.0000
```

Most intense lines, 5° ≤ 2θ ≤ 70°, sorted by position:
23.98°, rel. 100
27.63°, rel. 5
27.83°, rel. 10
39.62°, rel. 56
39.76°, rel. 28
46.72°, rel. 16
46.97°, rel. 32
57.49°, rel. 9
62.98°, rel. 13
63.18°, rel. 6

***

Structure and computed powder XRD pattern of CaMn4Sb12 (a cell relaxed with GGA-PBE; Cu Kα, 1.54184 Å).
No peak broadening, texture or thermal motion is included.

Atomic structure:
```
CaMn4Sb12
1.0
-4.6716 4.6716 4.6716
4.6716 -4.6716 4.6716
4.6716 4.6716 -4.6716
Ca Mn Sb
1 4 12
Cartesian
0.0000 0.0000 0.0000
2.3358 2.3358 -2.3358
2.3358 -2.3358 2.3358
-2.3358 2.3358 2.3358
2.3358 2.3358 2.3358
3.1321 1.4894 0.0000
6.2110 1.4894 0.0000
4.6716 -1.5394 3.1822
3.1822 4.6716 -1.5394
1.4894 0.0000 3.1321
0.0000 3.1321 1.4894
4.6716 1.5394 3.1822
3.1822 4.6716 1.5394
1.4894 0.0000 6.2110
0.0000 6.2110 1.4894
-1.5394 3.1822 4.6716
1.5394 3.1822 4.6716
```

Most intense lines, 5° ≤ 2θ ≤ 70°, sorted by position:
30.25°, rel. 100
35.97°, rel. 41
40.98°, rel. 7
43.31°, rel. 19
45.54°, rel. 9
47.69°, rel. 17
49.76°, rel. 22
57.52°, rel. 19
59.35°, rel. 11
68.06°, rel. 18

***

Structure and computed powder XRD pattern of BaLiS (a cell relaxed with GGA-PBE; Cu Kα, 1.54184 Å).
No peak broadening, texture or thermal motion is included.

Atomic structure:
```
BaLiS
1.0
4.0897 0.0000 0.0000
0.0000 4.0897 0.0000
0.0000 0.0000 9.9859
Ba Li S
2 2 2
Cartesian
1.0224 1.0224 1.9659
3.0673 3.0673 8.0200
1.0224 3.0673 4.9930
3.0673 1.0224 4.9930
1.0224 1.0224 6.4043
3.0673 3.0673 3.5816
```

Most intense lines, 5° ≤ 2θ ≤ 70°, sorted by position:
17.76°, rel. 57
23.51°, rel. 100
28.21°, rel. 89
30.92°, rel. 68
34.75°, rel. 29
35.89°, rel. 47
42.42°, rel. 44
44.30°, rel. 28
53.35°, rel. 28
63.00°, rel. 27

***

Structure and computed powder XRD pattern of Ba2Zn7Cd (a cell relaxed with GGA-PBE; Cu Kα, 1.54184 Å).
No peak broadening, texture or thermal motion is included.

Atomic structure:
```
Ba2Zn7Cd
1.0
4.6079 0.0000 0.0000
0.0000 4.6079 0.0000
0.0000 0.0000 11.0625
Ba Zn Cd
2 7 1
Cartesian
0.0000 2.3040 2.6657
2.3040 0.0000 8.3968
0.0000 0.0000 0.0000
0.0000 2.3040 7.0724
0.0000 2.3040 9.7708
2.3040 0.0000 1.2917
2.3040 0.0000 3.9901
2.3040 2.3040 0.0000
2.3040 2.3040 5.5313
0.0000 0.0000 5.5313
```

Most intense lines, 5° ≤ 2θ ≤ 70°, sorted by position:
31.06°, rel. 59
31.88°, rel. 100
39.10°, rel. 61
42.89°, rel. 15
45.48°, rel. 22
50.75°, rel. 29
56.49°, rel. 20
57.43°, rel. 15
61.49°, rel. 17
66.34°, rel. 23

***

Structure and computed powder XRD pattern of Cu3Ni2Pt6 (a cell relaxed with GGA-PBE; Cu Kα, 1.54184 Å).
No peak broadening, texture or thermal motion is included.

Atomic structure:
```
Cu3Ni2Pt6
1.0
4.9220 0.0000 0.0000
1.8700 5.7599 0.0000
2.2035 2.3761 5.6372
Cu Ni Pt
3 2 6
Cartesian
0.0000 0.0000 0.0000
4.2162 5.9253 4.4677
4.7793 2.2106 1.1695
3.0716 5.9482 2.1718
5.9239 2.1877 3.4654
2.1003 3.5778 1.5186
3.5118 2.3824 3.4526
2.3711 1.3311 0.0489
6.6244 6.8049 5.5883
5.4837 5.7535 2.1846
6.8952 4.5582 4.1186
```

Most intense lines, 5° ≤ 2θ ≤ 70°, sorted by position:
23.27°, rel. 100
33.26°, rel. 79
36.38°, rel. 95
40.15°, rel. 95
41.35°, rel. 69
41.71°, rel. 75
42.28°, rel. 49
42.50°, rel. 69
44.94°, rel. 37
46.41°, rel. 55

***

Structure and computed powder XRD pattern of AgSb6Ir (a cell relaxed with GGA-PBE; Cu Kα, 1.54184 Å).
No peak broadening, texture or thermal motion is included.

Atomic structure:
```
AgSb6Ir
1.0
6.7654 -4.7504 0.0000
6.7654 4.7504 0.0000
-6.7152 0.0000 6.9552
Ag Sb Ir
2 12 2
Cartesian
3.3827 2.3752 0.0000
3.3827 -2.3752 0.0000
2.3213 3.2843 4.4756
4.4943 3.2843 2.4796
-0.8991 1.4708 5.8239
1.2615 0.0000 3.3638
3.5043 0.0000 1.4586
7.7147 1.4708 1.1313
-0.8991 -1.4708 5.8239
3.3113 0.0000 5.4966
5.5540 0.0000 3.5915
7.7147 -1.4708 1.1313
2.3213 -3.2843 4.4756
4.4943 -3.2843 2.4796
0.0251 2.3752 3.4776
0.0251 -2.3752 3.4776
```

Most intense lines, 5° ≤ 2θ ≤ 70°, sorted by position:
12.73°, rel. 41
28.95°, rel. 46
29.08°, rel. 79
29.27°, rel. 35
29.45°, rel. 38
29.68°, rel. 100
41.70°, rel. 30
41.98°, rel. 48
42.37°, rel. 59
46.33°, rel. 45

***

Structure and computed powder XRD pattern of NdSmI2 (a cell relaxed with GGA-PBE; Cu Kα, 1.54184 Å).
No peak broadening, texture or thermal motion is included.

Atomic structure:
```
NdSmI2
1.0
3.8768 0.0000 0.0000
-1.9384 3.3574 0.0000
0.0000 0.0000 29.1912
Nd Sm I
3 3 6
Cartesian
0.0000 0.0000 0.0000
0.0000 2.2382 19.4608
1.9384 1.1191 9.7304
0.0000 0.0000 24.4337
0.0000 2.2382 14.7033
1.9384 1.1191 4.9729
0.0000 0.0000 7.3374
0.0000 0.0000 12.2426
0.0000 2.2382 2.5122
0.0000 2.2382 26.7981
1.9384 1.1191 17.0677
1.9384 1.1191 21.9729
```

Most intense lines, 5° ≤ 2θ ≤ 70°, sorted by position:
27.26°, rel. 39
30.72°, rel. 100
34.29°, rel. 79
36.95°, rel. 29
46.87°, rel. 45
57.09°, rel. 17
59.35°, rel. 16
60.57°, rel. 13
61.13°, rel. 40
66.98°, rel. 12

***

Structure and computed powder XRD pattern of Er6Tm7 (a cell relaxed with GGA-PBE; Cu Kα, 1.54184 Å).
No peak broadening, texture or thermal motion is included.

Atomic structure:
```
Er6Tm7
1.0
3.2166 1.8571 11.5333
-3.2166 1.8571 11.5333
0.0000 -3.7142 11.5333
Er Tm
6 7
Cartesian
0.0000 0.0000 1.6174
0.0000 0.0000 5.1202
0.0000 0.0000 11.5146
0.0000 0.0000 23.0852
0.0000 0.0000 29.4796
0.0000 0.0000 32.9824
-1.6227 -0.9368 14.6033
0.0000 -1.8737 19.9965
-1.6227 0.9368 19.9965
0.0000 0.0000 17.2999
1.6227 -0.9368 14.6033
0.0000 1.8737 14.6033
1.6227 0.9368 19.9965
```

Most intense lines, 5° ≤ 2θ ≤ 70°, sorted by position:
27.73°, rel. 47
30.41°, rel. 45
31.86°, rel. 100
32.24°, rel. 50
32.69°, rel. 69
34.71°, rel. 62
37.04°, rel. 26
51.71°, rel. 26
52.28°, rel. 37
57.28°, rel. 43

***

Structure and computed powder XRD pattern of Rb2CeSb2S6 (a cell relaxed with GGA-PBE; Cu Kα, 1.54184 Å).
No peak broadening, texture or thermal motion is included.

Atomic structure:
```
Rb2CeSb2S6
1.0
5.6504 -3.7402 0.0000
5.6504 3.7402 0.0000
-2.9930 0.0000 8.1722
Rb Ce Sb S
2 1 2 6
Cartesian
1.7793 0.0000 1.0183
6.5284 0.0000 7.1539
-1.4965 0.0000 4.0861
2.3520 0.0000 6.3796
5.9557 0.0000 1.7927
4.4200 1.9182 1.9643
1.1903 0.0000 4.2647
3.8878 1.9182 6.2079
4.4200 -1.9182 1.9643
7.1174 0.0000 3.9076
3.8878 -1.9182 6.2079
```

Most intense lines, 5° ≤ 2θ ≤ 70°, sorted by position:
16.29°, rel. 27
22.91°, rel. 30
23.67°, rel. 100
23.79°, rel. 54
26.59°, rel. 96
32.90°, rel. 39
33.26°, rel. 53
41.76°, rel. 24
43.59°, rel. 24
44.36°, rel. 29

***

Structure and computed powder XRD pattern of Ba3Mg2Al7 (a cell relaxed with GGA-PBE; Cu Kα, 1.54184 Å).
No peak broadening, texture or thermal motion is included.

Atomic structure:
```
Ba3Mg2Al7
1.0
3.0131 1.7396 9.5622
-3.0131 1.7396 9.5622
0.0000 -3.4793 9.5622
Ba Mg Al
3 2 7
Cartesian
0.0000 0.0000 0.0000
0.0000 0.0000 4.0973
0.0000 0.0000 24.5892
0.0000 0.0000 9.5910
0.0000 0.0000 19.0955
-1.5225 -0.8790 11.9379
0.0000 -1.7580 16.7487
-1.5225 0.8790 16.7487
0.0000 0.0000 14.3433
1.5225 -0.8790 11.9379
0.0000 1.7580 11.9379
1.5225 0.8790 16.7487
```

Most intense lines, 5° ≤ 2θ ≤ 70°, sorted by position:
17.27°, rel. 58
18.56°, rel. 19
27.68°, rel. 77
29.65°, rel. 76
30.24°, rel. 45
34.51°, rel. 42
35.21°, rel. 100
51.41°, rel. 28
56.27°, rel. 25
61.55°, rel. 21